No. 1
Diffraction record for Ce5H4Pb2. The powder diffractogram is theoretical, not measured: it uses DFT lattice parameters and positions (GGA-PBE) and Cu Ka.

Peak list (12 most intense, 2θ = 5–70°, by angle)
- 2θ = 26.3°, intensity 54
- 2θ = 32.1°, intensity 100
- 2θ = 32.8°, intensity 53
- 2θ = 34.1°, intensity 43
- 2θ = 35.9°, intensity 25
- 2θ = 38.7°, intensity 15
- 2θ = 39.3°, intensity 33
- 2θ = 53.0°, intensity 28
- 2θ = 56.0°, intensity 16
- 2θ = 59.9°, intensity 17
- 2θ = 67.2°, intensity 14
- 2θ = 67.5°, intensity 24

Crystal structure
```
data_Ce5H4Pb2
_chemical_formula_sum 'Ce5 H4 Pb2'
_cell_length_a 8.281
_cell_length_b 7.195
_cell_length_c 6.195
_cell_angle_alpha 75.99
_cell_angle_beta 57.47
_cell_angle_gamma 46.54
_symmetry_space_group_name_H-M 'P 1'
_symmetry_Int_Tables_number 1
_symmetry_space_group_name_Hall 'P 1'
loop_
_atom_site_label
_atom_site_type_symbol
_atom_site_fract_x
_atom_site_fract_y
_atom_site_fract_z
Ce1 Ce 0.000 0.000 0.000
Ce2 Ce 0.000 0.000 0.500
Ce3 Ce 0.250 0.250 0.250
Ce4 Ce 0.500 0.500 0.000
Ce5 Ce 0.750 0.750 0.750
H1 H 0.052 0.700 0.300
H2 H 0.300 0.948 0.052
H3 H 0.700 0.052 0.948
H4 H 0.948 0.300 0.700
Pb1 Pb 0.371 0.371 0.629
Pb2 Pb 0.629 0.629 0.371
```



No. 2
Diffraction record for Ce3HPb2. The powder diffractogram is theoretical, not measured: it uses DFT lattice parameters and positions (GGA-PBE) and Cu Ka.

Peak list (12 most intense, 2θ = 5–70°, by angle)
- 2θ = 30.3°, intensity 49
- 2θ = 31.1°, intensity 52
- 2θ = 31.8°, intensity 13
- 2θ = 32.6°, intensity 100
- 2θ = 34.4°, intensity 13
- 2θ = 35.3°, intensity 79
- 2θ = 44.0°, intensity 29
- 2θ = 48.2°, intensity 11
- 2θ = 53.3°, intensity 25
- 2θ = 54.4°, intensity 15
- 2θ = 55.3°, intensity 11
- 2θ = 62.5°, intensity 13

Crystal structure
```
data_Ce3HPb2
_chemical_formula_sum 'Ce6 H2 Pb4'
_cell_length_a 7.780
_cell_length_b 7.780
_cell_length_c 7.063
_cell_angle_alpha 100.97
_cell_angle_beta 100.97
_cell_angle_gamma 44.57
_symmetry_space_group_name_H-M 'P 1'
_symmetry_Int_Tables_number 1
_symmetry_space_group_name_Hall 'P 1'
loop_
_atom_site_label
_atom_site_type_symbol
_atom_site_fract_x
_atom_site_fract_y
_atom_site_fract_z
Ce1 Ce 0.069 0.931 0.750
Ce2 Ce 0.363 0.463 0.894
Ce3 Ce 0.463 0.363 0.394
Ce4 Ce 0.537 0.637 0.606
Ce5 Ce 0.637 0.537 0.106
Ce6 Ce 0.931 0.069 0.250
H1 H 0.324 0.676 0.250
H2 H 0.676 0.324 0.750
Pb1 Pb 0.176 0.234 0.569
Pb2 Pb 0.234 0.176 0.069
Pb3 Pb 0.766 0.824 0.931
Pb4 Pb 0.824 0.766 0.431
```



No. 3
Diffraction record for CeH7Pd5. The powder diffractogram is theoretical, not measured: it uses DFT lattice parameters and positions (GGA-PBE) and Cu Ka.

Peak list (12 most intense, 2θ = 5–70°, by angle)
- 2θ = 18.2°, intensity 28
- 2θ = 32.1°, intensity 35
- 2θ = 32.2°, intensity 43
- 2θ = 32.5°, intensity 31
- 2θ = 33.4°, intensity 39
- 2θ = 34.6°, intensity 100
- 2θ = 35.9°, intensity 56
- 2θ = 36.9°, intensity 60
- 2θ = 37.2°, intensity 67
- 2θ = 41.2°, intensity 48
- 2θ = 41.4°, intensity 31
- 2θ = 42.4°, intensity 49

Crystal structure
```
data_CeH7Pd5
_chemical_formula_sum 'Ce1 H7 Pd5'
_cell_length_a 5.515
_cell_length_b 5.597
_cell_length_c 5.799
_cell_angle_alpha 63.49
_cell_angle_beta 78.17
_cell_angle_gamma 62.17
_symmetry_space_group_name_H-M 'P 1'
_symmetry_Int_Tables_number 1
_symmetry_space_group_name_Hall 'P 1'
loop_
_atom_site_label
_atom_site_type_symbol
_atom_site_fract_x
_atom_site_fract_y
_atom_site_fract_z
Ce1 Ce 0.000 0.000 0.000
H1 H 0.142 0.896 0.593
H2 H 0.323 0.462 0.682
H3 H 0.412 0.479 0.200
H4 H 0.567 0.903 0.209
H5 H 0.667 0.833 0.688
H6 H 0.844 0.471 0.592
H7 H 0.998 0.519 0.043
Pd1 Pd 0.384 0.296 0.018
Pd2 Pd 0.491 0.224 0.525
Pd3 Pd 0.503 0.708 0.547
Pd4 Pd 0.610 0.697 0.024
Pd5 Pd 0.999 0.263 0.407
```



No. 4
Diffraction record for CeH11Pd5. The powder diffractogram is theoretical, not measured: it uses DFT lattice parameters and positions (GGA-PBE) and Cu Ka.

Peak list (12 most intense, 2θ = 5–70°, by angle)
- 2θ = 20.9°, intensity 30
- 2θ = 30.5°, intensity 65
- 2θ = 31.0°, intensity 67
- 2θ = 32.1°, intensity 100
- 2θ = 36.0°, intensity 78
- 2θ = 38.0°, intensity 56
- 2θ = 38.8°, intensity 57
- 2θ = 40.2°, intensity 52
- 2θ = 48.2°, intensity 33
- 2θ = 49.0°, intensity 23
- 2θ = 49.8°, intensity 28
- 2θ = 68.5°, intensity 25

Crystal structure
```
data_CeH11Pd5
_chemical_formula_sum 'Ce1 H11 Pd5'
_cell_length_a 6.049
_cell_length_b 6.049
_cell_length_c 4.991
_cell_angle_alpha 112.70
_cell_angle_beta 112.70
_cell_angle_gamma 83.79
_symmetry_space_group_name_H-M 'P 1'
_symmetry_Int_Tables_number 1
_symmetry_space_group_name_Hall 'P 1'
loop_
_atom_site_label
_atom_site_type_symbol
_atom_site_fract_x
_atom_site_fract_y
_atom_site_fract_z
Ce1 Ce 0.000 0.000 0.000
H1 H 0.000 0.000 0.500
H2 H 0.164 0.426 0.479
H3 H 0.169 0.616 0.079
H4 H 0.273 0.273 0.928
H5 H 0.384 0.831 0.921
H6 H 0.426 0.164 0.479
H7 H 0.574 0.836 0.521
H8 H 0.616 0.169 0.079
H9 H 0.727 0.727 0.072
H10 H 0.831 0.384 0.921
H11 H 0.836 0.574 0.521
Pd1 Pd 0.005 0.375 0.694
Pd2 Pd 0.375 0.005 0.694
Pd3 Pd 0.500 0.500 0.000
Pd4 Pd 0.625 0.995 0.306
Pd5 Pd 0.995 0.625 0.306
```



No. 5
Diffraction record for CeH8Pd2Rh3. The powder diffractogram is theoretical, not measured: it uses DFT lattice parameters and positions (GGA-PBE) and Cu Ka.

Peak list (12 most intense, 2θ = 5–70°, by angle)
- 2θ = 31.1°, intensity 31
- 2θ = 31.4°, intensity 31
- 2θ = 36.6°, intensity 46
- 2θ = 36.9°, intensity 100
- 2θ = 37.0°, intensity 46
- 2θ = 38.2°, intensity 18
- 2θ = 38.7°, intensity 47
- 2θ = 59.1°, intensity 13
- 2θ = 59.4°, intensity 23
- 2θ = 59.5°, intensity 25
- 2θ = 64.9°, intensity 27
- 2θ = 65.5°, intensity 26

Crystal structure
```
data_CeH8Pd2Rh3
_chemical_formula_sum 'Ce1 H8 Pd2 Rh3'
_cell_length_a 5.746
_cell_length_b 5.746
_cell_length_c 5.746
_cell_angle_alpha 59.44
_cell_angle_beta 59.44
_cell_angle_gamma 59.44
_symmetry_space_group_name_H-M 'P 1'
_symmetry_Int_Tables_number 1
_symmetry_space_group_name_Hall 'P 1'
loop_
_atom_site_label
_atom_site_type_symbol
_atom_site_fract_x
_atom_site_fract_y
_atom_site_fract_z
Ce1 Ce 0.000 0.000 0.000
H1 H 0.370 0.370 0.849
H2 H 0.370 0.849 0.370
H3 H 0.386 0.386 0.386
H4 H 0.479 0.851 0.851
H5 H 0.842 0.842 0.842
H6 H 0.849 0.370 0.370
H7 H 0.851 0.479 0.851
H8 H 0.851 0.851 0.479
Pd1 Pd 0.254 0.254 0.254
Pd2 Pd 0.623 0.623 0.623
Rh1 Rh 0.132 0.623 0.623
Rh2 Rh 0.623 0.132 0.623
Rh3 Rh 0.623 0.623 0.132
```



No. 6
Diffraction record for CeH8Pd2Rh. The powder diffractogram is theoretical, not measured: it uses DFT lattice parameters and positions (GGA-PBE) and Cu Ka.

Peak list (12 most intense, 2θ = 5–70°, by angle)
- 2θ = 22.1°, intensity 6
- 2θ = 30.9°, intensity 100
- 2θ = 35.2°, intensity 15
- 2θ = 37.6°, intensity 73
- 2θ = 44.9°, intensity 6
- 2θ = 49.4°, intensity 27
- 2θ = 50.2°, intensity 13
- 2θ = 61.5°, intensity 6
- 2θ = 63.7°, intensity 25
- 2θ = 64.4°, intensity 6
- 2θ = 64.9°, intensity 8
- 2θ = 67.9°, intensity 13

Crystal structure
```
data_CeH8Pd2Rh
_chemical_formula_sum 'Ce1 H8 Pd2 Rh1'
_cell_length_a 6.059
_cell_length_b 6.059
_cell_length_c 6.059
_cell_angle_alpha 46.51
_cell_angle_beta 46.51
_cell_angle_gamma 46.51
_symmetry_space_group_name_H-M 'P 1'
_symmetry_Int_Tables_number 1
_symmetry_space_group_name_Hall 'P 1'
loop_
_atom_site_label
_atom_site_type_symbol
_atom_site_fract_x
_atom_site_fract_y
_atom_site_fract_z
Ce1 Ce 0.000 0.000 0.000
H1 H 0.156 0.775 0.406
H2 H 0.225 0.594 0.844
H3 H 0.326 0.326 0.326
H4 H 0.406 0.156 0.775
H5 H 0.594 0.844 0.225
H6 H 0.674 0.674 0.674
H7 H 0.775 0.406 0.156
H8 H 0.844 0.225 0.594
Pd1 Pd 0.223 0.223 0.223
Pd2 Pd 0.777 0.777 0.777
Rh1 Rh 0.500 0.500 0.500
```



No. 7
Diffraction record for CeH6PdRh. The powder diffractogram is theoretical, not measured: it uses DFT lattice parameters and positions (GGA-PBE) and Cu Ka.

Peak list (11 most intense, 2θ = 5–70°, by angle)
- 2θ = 21.1°, intensity 4
- 2θ = 21.4°, intensity 1
- 2θ = 30.3°, intensity 100
- 2θ = 37.6°, intensity 57
- 2θ = 43.0°, intensity 13
- 2θ = 43.5°, intensity 3
- 2θ = 48.5°, intensity 1
- 2θ = 49.0°, intensity 26
- 2θ = 58.4°, intensity 32
- 2θ = 63.4°, intensity 24
- 2θ = 67.8°, intensity 10

Crystal structure
```
data_CeH6PdRh
_chemical_formula_sum 'Ce1 H6 Pd1 Rh1'
_cell_length_a 4.785
_cell_length_b 4.785
_cell_length_c 4.206
_cell_angle_alpha 90.00
_cell_angle_beta 90.00
_cell_angle_gamma 120.00
_symmetry_space_group_name_H-M 'P 1'
_symmetry_Int_Tables_number 1
_symmetry_space_group_name_Hall 'P 1'
loop_
_atom_site_label
_atom_site_type_symbol
_atom_site_fract_x
_atom_site_fract_y
_atom_site_fract_z
Ce1 Ce 0.000 0.000 0.000
H1 H 0.508 0.017 0.231
H2 H 0.508 0.017 0.769
H3 H 0.508 0.492 0.231
H4 H 0.508 0.492 0.769
H5 H 0.983 0.492 0.231
H6 H 0.983 0.492 0.769
Pd1 Pd 0.333 0.667 0.500
Rh1 Rh 0.667 0.333 0.500
```



No. 8
Diffraction record for Ce3PrH3. The powder diffractogram is theoretical, not measured: it uses DFT lattice parameters and positions (GGA-PBE) and Cu Ka.

Peak list (10 most intense, 2θ = 5–70°, by angle)
- 2θ = 27.6°, intensity 35
- 2θ = 30.9°, intensity 100
- 2θ = 33.9°, intensity 82
- 2θ = 48.8°, intensity 10
- 2θ = 50.9°, intensity 25
- 2θ = 53.0°, intensity 46
- 2θ = 56.9°, intensity 18
- 2θ = 64.4°, intensity 13
- 2θ = 66.2°, intensity 23
- 2θ = 68.0°, intensity 11

Crystal structure
```
data_Ce3PrH3
_chemical_formula_sum 'Ce6 Pr2 H6'
_cell_length_a 6.470
_cell_length_b 6.470
_cell_length_c 6.470
_cell_angle_alpha 90.00
_cell_angle_beta 90.00
_cell_angle_gamma 90.00
_symmetry_space_group_name_H-M 'P 1'
_symmetry_Int_Tables_number 1
_symmetry_space_group_name_Hall 'P 1'
loop_
_atom_site_label
_atom_site_type_symbol
_atom_site_fract_x
_atom_site_fract_y
_atom_site_fract_z
Ce1 Ce 0.000 0.250 0.500
Ce2 Ce 0.000 0.750 0.500
Ce3 Ce 0.250 0.500 0.000
Ce4 Ce 0.500 0.000 0.250
Ce5 Ce 0.500 0.000 0.750
Ce6 Ce 0.750 0.500 0.000
Pr1 Pr 0.000 0.000 0.000
Pr2 Pr 0.500 0.500 0.500
H1 H 0.000 0.500 0.250
H2 H 0.000 0.500 0.750
H3 H 0.250 0.000 0.500
H4 H 0.500 0.250 0.000
H5 H 0.500 0.750 0.000
H6 H 0.750 0.000 0.500
```